This entry pairs a crystal structure of Li6Ca3MnC6O18F2 with its simulated X-ray powder pattern. Radiation: a wavelength of 1.5418 Å. Structure: a structure optimized by DFT (PBE+U).

Largest 12 diffraction maxima, most intense first, 2θ from 10° to 80°:
- 2θ = 31.6°, I 100.0, hkl 2 2 1
- 2θ = 13.0°, I 82.2, hkl 0 1 0
- 2θ = 32.6°, I 50.8, hkl -2 1 1
- 2θ = 41.6°, I 49.0, hkl 0 1 -3
- 2θ = 27.7°, I 40.2, hkl 2 1 1
- 2θ = 23.5°, I 38.6, hkl 0 2 1
- 2θ = 33.9°, I 38.2, hkl 0 0 3
- 2θ = 32.8°, I 37.3, hkl 2 -1 0
- 2θ = 30.6°, I 33.5, hkl 0 1 3
- 2θ = 20.6°, I 31.5, hkl -1 1 1
- 2θ = 20.8°, I 30.6, hkl 1 -1 0
- 2θ = 33.5°, I 27.9, hkl 2 2 0

Crystal structure
a = 6.746 Å, b = 7.789 Å, c = 8.828 Å
α = 63.95°, β = 84.99°, γ = 76.36°
Sites, in units of the cell vectors:
Li 0.000 0.000 0.000
Li 0.029 0.805 0.423
Li 0.118 0.390 0.858
Li 0.464 0.039 0.996
Li 0.501 0.796 0.415
Li 0.632 0.040 0.556
Ca 0.143 0.106 0.582
Ca 0.348 0.535 0.250
Ca 0.842 0.580 0.163
Mn 0.638 0.458 0.848
C 0.176 0.166 0.213
C 0.369 0.404 0.609
C 0.381 0.806 0.839
C 0.672 0.167 0.210
C 0.853 0.429 0.588
C 0.879 0.787 0.808
O 0.166 0.334 0.215
O 0.170 0.155 0.072
O 0.194 0.010 0.356
O 0.265 0.942 0.873
O 0.287 0.584 0.512
O 0.403 0.345 0.768
O 0.416 0.280 0.541
O 0.428 0.627 0.955
O 0.450 0.847 0.687
O 0.668 0.009 0.344
O 0.670 0.329 0.221
O 0.676 0.169 0.060
O 0.710 0.574 0.583
O 0.817 0.878 0.902
O 0.898 0.596 0.877
O 0.907 0.402 0.456
O 0.921 0.882 0.651
O 0.945 0.304 0.733
F 0.041 0.753 0.211
F 0.537 0.757 0.204